For NpPaAsN2, a structure optimized by DFT (GGA-PBE) gives the theoretical X-ray diffraction stick pattern in this record (copper Kα).

Crystal structure
Cell: 6.544 6.544 6.544 Å, 146.07 146.07 48.74°
Element x y z (fractional)
Np 0.000 0.000 0.000
Pa 0.301 0.301 0.000
As 0.652 0.652 0.000
N 0.400 0.900 0.500
N 0.900 0.400 0.500

Main lines, by angle (2θ = 10–80°):
2θ = 24.47°, rel. 28
2θ = 32.52°, rel. 100
2θ = 33.17°, rel. 46
2θ = 45.31°, rel. 15
2θ = 47.62°, rel. 21
2θ = 57.59°, rel. 17
2θ = 58.85°, rel. 38
2θ = 59.42°, rel. 9
2θ = 68.10°, rel. 9
2θ = 79.34°, rel. 8